Theoretical powder X-ray diffraction pattern of Ac2Mn3O10 for Cu Kα, 1.54184 Å, from DFT lattice parameters and positions (PBE+U).

Principal peaks in the range 2θ from 10° to 80°, most intense first:
Position (°2θ)  Rel. int.  index
28.53  100.0  3 1 1
29.06  60.4  3 1 -2
30.18  46.0  6 0 -1
43.97  38.5  6 2 -1
40.55  30.3  0 2 2
31.21  27.6  0 2 0
22.59  24.9  3 1 -1
22.38  19.1  3 1 0
53.91  17.4  3 3 1
16.37  16.8  1 1 0

Cell and atoms:
```
data_Ac2Mn3O10
_chemical_formula_sum 'Ac8 Mn12 O40'
_cell_length_a 17.773
_cell_length_b 5.731
_cell_length_c 7.590
_cell_angle_alpha 90.00
_cell_angle_beta 111.53
_cell_angle_gamma 90.00
_symmetry_space_group_name_H-M 'C 1 2/m 1'
_symmetry_Int_Tables_number 12
loop_
_symmetry_equiv_pos_as_xyz
'x,y,z'
'-x,-y,-z'
'-x,y,-z'
'x,-y,z'
'x+1/2,y+1/2,z'
'-x+1/2,-y+1/2,-z'
'-x+1/2,y+1/2,-z'
'x+1/2,-y+1/2,z'
loop_
_atom_site_label
_atom_site_type_symbol
_atom_site_fract_x
_atom_site_fract_y
_atom_site_fract_z
_atom_site_occupancy
Ac1 Ac 0.113 0.000 0.219 1
Ac2 Ac 0.214 0.000 0.797 1
Mn1 Mn 0.000 0.247 0.500 1
Mn2 Mn 0.075 0.500 0.956 1
Mn3 Mn 0.174 0.500 0.508 1
O1 O 0.000 0.277 0.000 1
O2 O 0.021 0.000 0.678 1
O3 O 0.023 0.500 0.684 1
O4 O 0.110 0.242 0.516 1
O5 O 0.139 0.500 0.236 1
O6 O 0.150 0.264 0.969 1
O7 O 0.231 0.500 0.768 1
O8 O 0.250 0.250 0.500 1
```